Entry 1:
Structure and theoretical powder diffractogram of YAgBr6 (a GGA-PBE-relaxed structure; λ = 1.5418 Å (Cu Kα)).

Atomic structure:
a b c (Å): 5.9206 7.3054 7.7832
angles (deg): 70.18 72.55 85.86
Space group P-1 (No. 2)
Asymmetric unit:
1 Y 0.0000 0.0000 0.0000 (multiplicity 1)
2 Ag 0.5000 0.5000 0.0000 (multiplicity 1)
3 Br 0.0356 0.8140 0.3575 (multiplicity 2)
4 Br 0.2620 0.3658 0.8383 (multiplicity 2)
5 Br 0.4144 0.8386 0.8064 (multiplicity 2)

Largest 6 diffraction maxima, by angle, 2θ from 10° to 80°:
2θ 12.6, I = 100, hkl 0 0 1; 2θ 19.0, I = 38, hkl 1 1 1; 2θ 23.0, I = 57, hkl 1 0 -1; 2θ 23.9, I = 90, hkl -1 1 1; 2θ 42.6, I = 41, hkl 0 2 -2; 2θ 50.8, I = 35, hkl 0 4 2

***

Entry 2:
Structure and theoretical powder diffractogram of Ac2S3 (a GGA-PBE-relaxed structure; λ = 1.5418 Å (Cu Kα)).

Atomic structure:
a b c (Å): 7.6115 7.6115 19.6198
angles (deg): 90.00 90.00 120.00
Space group R-3c (No. 167, hexagonal axes)
Asymmetric unit:
1 Ac 0.0000 0.0000 0.1435 (multiplicity 12)
2 S 0.0000 0.2891 0.2500 (multiplicity 18)

Largest 6 diffraction maxima, by angle, 2θ from 10° to 80°:
2θ 22.6, I = 100, hkl 1 0 4; 2θ 23.4, I = 100, hkl 1 1 0; 2θ 32.7, I = 50, hkl 0 2 4; 2θ 36.2, I = 46, hkl 1 1 6; 2θ 40.6, I = 53, hkl 2 1 4; 2θ 41.1, I = 41, hkl 3 0 0

***

Entry 3:
Structure and theoretical powder diffractogram of GaIrPb (a GGA-PBE-relaxed structure; λ = 1.5418 Å (Cu Kα)).

Atomic structure:
a b c (Å): 14.6332 3.0400 6.3768
angles (deg): 90.00 109.87 90.00
Space group C2/m (No. 12)
Asymmetric unit:
1 Ga 0.0000 0.0000 0.0000 (multiplicity 2)
2 Ga 0.0000 0.0000 0.5000 (multiplicity 2)
3 Ir 0.0890 0.5000 0.3191 (multiplicity 4)
4 Pb 0.2471 0.5000 0.7496 (multiplicity 4)

Largest 6 diffraction maxima, by angle, 2θ from 10° to 80°:
2θ 22.7, I = 35, hkl 2 0 1; 2θ 29.8, I = 35, hkl 0 0 2; 2θ 35.8, I = 100, hkl 3 1 -1; 2θ 36.5, I = 41, hkl 2 0 2; 2θ 40.6, I = 44, hkl 6 0 -2; 2θ 41.2, I = 93, hkl 3 1 1

***

Entry 4:
Structure and theoretical powder diffractogram of ZrMoS3 (a GGA-PBE-relaxed structure; λ = 1.5418 Å (Cu Kα)).

Atomic structure:
a b c (Å): 5.8748 5.8748 19.2082
angles (deg): 90.00 90.00 120.00
Space group R32 (No. 155, hexagonal axes)
Asymmetric unit:
1 Zr 0.0000 0.0000 0.1655 (multiplicity 6)
2 Mo 0.0000 0.0000 0.3329 (multiplicity 6)
3 S 0.0018 0.3408 0.9212 (multiplicity 18)

Largest 6 diffraction maxima, by angle, 2θ from 10° to 80°:
2θ 19.7, I = 53, hkl 0 1 2; 2θ 25.5, I = 27, hkl 1 0 4; 2θ 30.4, I = 52, hkl 1 1 0; 2θ 41.7, I = 100, hkl 1 1 6; 2θ 54.1, I = 29, hkl 3 0 0; 2θ 70.6, I = 20, hkl 2 2 6

***

Entry 5:
Structure and theoretical powder diffractogram of TbSmAgPd (a GGA-PBE-relaxed structure; λ = 1.5418 Å (Cu Kα)).

Atomic structure:
a b c (Å): 3.6069 3.6069 7.2866
angles (deg): 90.00 90.00 90.00
Space group P4mm (No. 99)
Asymmetric unit:
1 Tb 0.0000 0.0000 0.0000 (multiplicity 1)
2 Sm 0.0000 0.0000 0.5227 (multiplicity 1)
3 Ag 0.5000 0.5000 0.2529 (multiplicity 1)
4 Pd 0.5000 0.5000 0.7712 (multiplicity 1)

Largest 6 diffraction maxima, by angle, 2θ from 10° to 80°:
2θ 35.0, I = 100, hkl 1 0 2; 2θ 35.2, I = 50, hkl 1 1 0; 2θ 50.6, I = 18, hkl 2 0 0; 2θ 62.7, I = 17, hkl 1 1 4; 2θ 63.0, I = 35, hkl 2 1 2; 2θ 74.0, I = 10, hkl 2 0 4

***

Entry 6:
Structure and theoretical powder diffractogram of Pm7MgPb2 (a GGA-PBE-relaxed structure; λ = 1.5418 Å (Cu Kα)).

Atomic structure:
a b c (Å): 5.4242 5.4242 13.2360
angles (deg): 90.00 90.00 120.00
Space group P3m1 (No. 156)
Asymmetric unit:
1 Pm 0.0000 0.0000 0.0000 (multiplicity 1)
2 Pm 0.0000 0.0000 0.2593 (multiplicity 1)
3 Pm 0.0000 0.0000 0.5207 (multiplicity 1)
4 Pm 0.3333 0.6667 0.1456 (multiplicity 1)
5 Pm 0.3333 0.6667 0.6684 (multiplicity 1)
6 Pm 0.6667 0.3333 0.3890 (multiplicity 1)
7 Pm 0.6667 0.3333 0.8430 (multiplicity 1)
8 Mg 0.3333 0.6667 0.4043 (multiplicity 1)
9 Pb 0.0000 0.0000 0.7612 (multiplicity 1)
10 Pb 0.6667 0.3333 0.1009 (multiplicity 1)

Largest 6 diffraction maxima, by angle, 2θ from 10° to 80°:
2θ 20.1, I = 10, hkl 0 0 3; 2θ 23.2, I = 12, hkl 1 0 2; 2θ 33.1, I = 100, hkl 1 1 0; 2θ 47.5, I = 18, hkl 0 2 4; 2θ 59.0, I = 29, hkl 3 0 0; 2θ 79.0, I = 8, hkl 1 3 4

***

Entry 7:
Structure and theoretical powder diffractogram of Pu3Be2Pd5 (a GGA-PBE-relaxed structure; λ = 1.5418 Å (Cu Kα)).

Atomic structure:
a b c (Å): 10.5525 10.5525 3.1934
angles (deg): 90.00 90.00 90.00
Space group P4/mbm (No. 127)
Asymmetric unit:
1 Pu 0.0000 0.0000 0.0000 (multiplicity 2)
2 Pu 0.1807 0.3193 0.0000 (multiplicity 4)
3 Be 0.1152 0.6152 0.0000 (multiplicity 4)
4 Pd 0.0000 0.5000 0.5000 (multiplicity 2)
5 Pd 0.0667 0.7674 0.5000 (multiplicity 8)

Largest 6 diffraction maxima, by angle, 2θ from 10° to 80°:
2θ 33.9, I = 100, hkl 2 1 1; 2θ 35.1, I = 81, hkl 4 1 0; 2θ 37.1, I = 56, hkl 2 2 1; 2θ 38.1, I = 43, hkl 4 2 0; 2θ 39.0, I = 95, hkl 3 1 1; 2θ 58.6, I = 36, hkl 5 3 1

***

Entry 8:
Structure and theoretical powder diffractogram of KLi3Sb2 (a GGA-PBE-relaxed structure; λ = 1.5418 Å (Cu Kα)).

Atomic structure:
a b c (Å): 6.4135 6.4135 4.4581
angles (deg): 90.00 90.00 120.00
Space group P6/mmm (No. 191)
Asymmetric unit:
1 K 0.0000 0.0000 0.0000 (multiplicity 1)
2 Li 0.0000 0.5000 0.5000 (multiplicity 3)
3 Sb 0.3333 0.6667 0.0000 (multiplicity 2)

Largest 6 diffraction maxima, by angle, 2θ from 10° to 80°:
2θ 16.0, I = 28, hkl 1 0 0; 2θ 19.9, I = 58, hkl 0 0 1; 2θ 27.8, I = 82, hkl 1 1 0; 2θ 34.5, I = 100, hkl 1 1 1; 2θ 49.8, I = 32, hkl 1 1 2; 2θ 53.6, I = 27, hkl 3 0 1